Diffraction record for Na2Pb3Au. The X-ray diffraction stick pattern is simulated, not measured: it uses a cell relaxed with PBE and Cu Kα, 1.54184 Å.
Lines closer than 0.1° are merged.

Principal peaks in the range 10 to 90 degrees two-theta, sorted by position:
- 2θ 18.73, d 4.738, rel. 32
- 2θ 19.61, d 4.527, rel. 72
- 2θ 26.46, d 3.369, rel. 77
- 2θ 33.15, d 2.703, rel. 65
- 2θ 33.27, d 2.693, rel. 100
- 2θ 34.82, d 2.576, rel. 49
- 2θ 43.00, d 2.103, rel. 80
- 2θ 44.26, d 2.047, rel. 40
- 2θ 61.42, d 1.510, rel. 32
- 2θ 65.32, d 1.428, rel. 38

Atomic structure:
```
Na2Pb3Au
1.0
3.369 0.000 0.000
0.000 5.153 0.000
0.000 0.000 9.476
Na Pb Au
2 3 1
Cartesian
0.000 0.000 0.000
0.000 2.576 4.275
1.684 0.000 5.766
1.684 2.576 1.458
1.684 2.576 7.640
1.684 0.000 2.839
```

=====

Diffraction record for Sr6Cu3P5. The X-ray diffraction stick pattern is simulated, not measured: it uses a cell relaxed with PBE and Cu Kα, 1.54184 Å.
Lines closer than 0.1° are merged.

Principal peaks in the range 10 to 90 degrees two-theta, sorted by position:
- 2θ 20.77, d 4.276, rel. 23
- 2θ 25.29, d 3.522, rel. 36
- 2θ 26.85, d 3.321, rel. 20
- 2θ 27.91, d 3.197, rel. 100
- 2θ 28.94, d 3.085, rel. 15
- 2θ 34.19, d 2.623, rel. 13
- 2θ 36.06, d 2.491, rel. 29
- 2θ 39.11, d 2.303, rel. 28
- 2θ 46.21, d 1.965, rel. 15
- 2θ 46.88, d 1.938, rel. 14

Atomic structure:
```
Sr6Cu3P5
1.0
9.962 0.000 0.000
0.000 9.962 0.000
0.000 0.000 8.338
Sr Cu P
12 6 10
Cartesian
0.000 0.000 0.000
0.000 0.000 4.169
0.000 4.981 0.505
2.576 3.055 5.976
2.576 6.908 5.976
3.055 2.576 1.807
3.055 7.387 1.807
4.981 0.000 4.674
6.908 2.576 1.807
6.908 7.387 1.807
7.387 3.055 5.976
7.387 6.908 5.976
0.000 3.649 3.705
0.000 6.313 3.705
3.649 0.000 7.874
4.981 4.981 4.029
4.981 4.981 8.198
6.313 0.000 7.874
0.000 2.195 2.049
0.000 4.981 5.488
0.000 7.767 2.049
2.195 0.000 6.218
2.831 4.981 8.315
4.981 0.000 1.319
4.981 2.831 4.146
4.981 7.131 4.146
7.131 4.981 8.315
7.767 0.000 6.218
```

=====

Diffraction record for Fe4CoIr3. The X-ray diffraction stick pattern is simulated, not measured: it uses a cell relaxed with PBE and Cu Kα, 1.54184 Å.
Lines closer than 0.1° are merged.

Principal peaks in the range 10 to 90 degrees two-theta, sorted by position:
- 2θ 24.59, d 3.621, rel. 30
- 2θ 33.99, d 2.638, rel. 19
- 2θ 42.38, d 2.133, rel. 100
- 2θ 48.83, d 1.865, rel. 33
- 2θ 50.36, d 1.812, rel. 16
- 2θ 55.41, d 1.658, rel. 12
- 2θ 71.54, d 1.319, rel. 10
- 2θ 72.77, d 1.300, rel. 20
- 2θ 86.83, d 1.122, rel. 25
- 2θ 89.17, d 1.098, rel. 12

Atomic structure:
```
Fe4CoIr3
1.0
-1.865 1.865 7.248
1.865 -1.865 7.248
1.865 1.865 -7.248
Fe Co Ir
4 1 3
Cartesian
1.865 0.000 1.771
1.865 0.000 5.477
0.000 1.865 1.771
0.000 1.865 5.477
0.000 0.000 0.000
0.000 0.000 3.630
0.000 0.000 7.248
0.000 0.000 10.865
```

=====

Diffraction record for Na4Bi2C4SO16. The X-ray diffraction stick pattern is simulated, not measured: it uses a cell relaxed with PBE and Cu Kα, 1.54184 Å.
Lines closer than 0.1° are merged.

Principal peaks in the range 10 to 90 degrees two-theta, sorted by position:
- 2θ 10.43, d 8.484, rel. 100
- 2θ 19.81, d 4.481, rel. 46
- 2θ 20.00, d 4.440, rel. 46
- 2θ 20.31, d 4.372, rel. 39
- 2θ 20.94, d 4.242, rel. 68
- 2θ 31.56, d 2.835, rel. 23
- 2θ 34.20, d 2.622, rel. 25
- 2θ 34.81, d 2.578, rel. 23
- 2θ 35.94, d 2.499, rel. 24
- 2θ 40.24, d 2.241, rel. 25

Atomic structure:
```
Na4Bi2C4SO16
1.0
0.000 7.369 7.464
7.215 0.000 7.464
7.215 7.369 0.000
Na Bi C S O
8 4 8 2 32
Cartesian
6.411 3.684 3.732
7.215 3.012 7.464
11.484 7.369 7.464
7.215 7.369 3.068
0.803 3.684 3.732
7.215 7.369 11.860
2.945 7.369 7.464
7.215 11.726 7.464
9.090 5.522 5.638
9.090 9.216 9.291
5.339 5.522 9.291
5.339 9.216 5.638
8.542 5.983 8.827
5.887 5.983 6.102
8.542 8.754 6.102
12.391 9.638 9.776
5.887 8.754 8.827
12.391 12.468 12.616
9.253 9.638 12.616
9.253 12.468 9.776
0.000 0.000 0.000
3.607 3.684 3.732
0.859 0.865 0.869
6.356 6.504 0.869
6.356 0.865 6.595
4.490 2.825 4.593
4.490 4.544 2.871
2.725 2.825 2.871
6.799 5.922 5.164
8.558 5.083 7.895
9.411 7.794 6.107
5.872 5.083 7.034
9.411 6.944 8.822
7.630 8.816 5.164
2.725 4.544 4.593
11.455 9.522 8.890
13.267 10.609 9.669
12.491 8.792 10.754
7.630 5.922 9.764
5.019 6.944 6.107
8.558 9.655 7.034
13.267 11.498 12.724
9.153 8.792 11.638
10.189 12.584 8.890
5.019 7.794 8.822
5.872 9.655 7.895
6.799 8.816 9.764
12.491 13.315 11.638
0.859 6.504 6.595
10.189 9.522 13.502
8.376 11.498 9.669
11.455 12.584 13.502
9.153 13.315 10.754
8.376 10.609 12.724
```

=====

Diffraction record for Ag4GeO4. The X-ray diffraction stick pattern is simulated, not measured: it uses a cell relaxed with PBE and Cu Kα, 1.54184 Å.
Lines closer than 0.1° are merged.

Principal peaks in the range 10 to 90 degrees two-theta, sorted by position:
- 2θ 33.15, d 2.702, rel. 100
- 2θ 33.80, d 2.652, rel. 5
- 2θ 37.93, d 2.372, rel. 53
- 2θ 39.52, d 2.280, rel. 26
- 2θ 48.07, d 1.893, rel. 5
- 2θ 54.73, d 1.677, rel. 13
- 2θ 55.94, d 1.644, rel. 32
- 2θ 65.50, d 1.425, rel. 22
- 2θ 67.67, d 1.385, rel. 12
- 2θ 69.59, d 1.351, rel. 12

Atomic structure:
```
Ag4GeO4
1.0
-3.750 3.750 2.280
3.750 -3.750 2.280
3.750 3.750 -2.280
Ag Ge O
4 1 4
Cartesian
5.481 0.702 0.000
0.702 2.020 0.000
3.048 1.731 2.280
-1.731 3.048 2.280
0.000 0.000 2.280
3.400 1.912 0.000
1.839 -0.350 2.280
1.912 4.100 0.000
0.350 1.839 2.280
```

=====

Diffraction record for Tb2Sm2Se3S2. The X-ray diffraction stick pattern is simulated, not measured: it uses a cell relaxed with PBE and Cu Kα, 1.54184 Å.
Lines closer than 0.1° are merged.

Principal peaks in the range 10 to 90 degrees two-theta, sorted by position:
- 2θ 24.92, d 3.573, rel. 51
- 2θ 25.62, d 3.477, rel. 41
- 2θ 31.80, d 2.814, rel. 100
- 2θ 35.21, d 2.549, rel. 32
- 2θ 40.82, d 2.211, rel. 55
- 2θ 45.59, d 1.990, rel. 36
- 2θ 48.17, d 1.889, rel. 26
- 2θ 52.65, d 1.738, rel. 26
- 2θ 75.55, d 1.259, rel. 16
- 2θ 81.00, d 1.187, rel. 15

Atomic structure:
```
Tb2Sm2Se3S2
1.0
-2.814 2.814 7.146
2.814 -2.814 7.146
2.814 2.814 -7.146
Tb Sm Se S
2 2 3 2
Cartesian
2.814 0.000 0.000
0.000 2.814 0.000
0.000 0.000 3.039
0.000 0.000 11.254
0.000 0.000 0.000
2.814 0.000 3.573
0.000 2.814 3.573
0.000 0.000 5.751
0.000 0.000 8.542
```